Entry 1:
The following is a theoretical PXRD pattern of FeCoNi4S8. It was derived from a cell relaxed with PBE, using λ = 1.5418 Å (Cu Kα).
Neutral-atom scattering factors, no anomalous dispersion.

```
14
Lattice="0.0000 4.6881 4.6881 4.6881 0.0000 4.6881 4.6881 4.6881 0.0000" Properties=species:S:1:pos:R:3 pbc="T T T"
Fe 0.0000 0.0000 0.0000
Co 7.0322 7.0322 7.0322
Ni 3.5175 3.5175 3.5175
Ni 5.8588 5.8588 3.5175
Ni 5.8588 3.5175 5.8588
Ni 3.5175 5.8588 5.8588
S 1.2178 1.2178 1.2178
S 3.4704 3.4704 1.2178
S 3.4704 1.2178 3.4704
S 5.8037 3.5726 3.5726
S 1.2178 3.4704 3.4704
S 3.5726 5.8037 3.5726
S 3.5726 3.5726 5.8037
S 5.8037 5.8037 5.8037
```

Principal peaks in the range 10 to 90 degrees two-theta, in order of rising 2θ:
2θ/deg, Rel. int.
16.37, 13
26.90, 26
31.65, 100
38.40, 51
50.58, 40
55.43, 83
65.25, 11
69.45, 10
78.33, 17
82.26, 12

***

Entry 2:
The following is a theoretical PXRD pattern of Hf3AgHg3F20. It was derived from a cell relaxed with PBE, using λ = 1.5418 Å (Cu Kα).
Neutral-atom scattering factors, no anomalous dispersion.

```
54
Lattice="10.7776 0.0000 0.0000 -5.3888 9.3336 0.0000 0.0000 0.0000 8.6326" Properties=species:S:1:pos:R:3 pbc="T T T"
Hf -2.3801 6.7370 2.1581
Hf 0.7444 3.9039 2.1581
Hf 3.7531 1.3073 6.4744
Hf 1.6357 8.0264 2.1581
Hf 4.6444 5.4297 6.4744
Hf 7.7689 2.5966 6.4744
Ag 0.0000 0.0000 2.1581
Ag 0.0000 0.0000 6.4744
Hg -2.2075 6.8068 6.4744
Hg 0.5976 4.0185 6.4744
Hg 3.7789 1.4917 2.1581
Hg 1.6099 7.8419 6.4744
Hg 4.7912 5.3151 2.1581
Hg 7.5962 2.5268 2.1581
F 0.0000 0.0000 0.0000
F 0.0000 0.0000 4.3163
F -0.9362 2.1758 6.4744
F -1.9451 4.3640 6.4744
F -0.8700 2.6389 2.1581
F -2.3159 6.7211 0.1729
F -2.3159 6.7211 4.1434
F -0.9717 5.1453 2.1581
F -3.0364 9.0565 6.4744
F -2.6684 8.7676 2.1581
F 1.4162 1.8987 2.1581
F 0.7261 3.9674 0.1729
F 0.7261 3.9674 4.1434
F 1.8504 2.0729 6.4744
F 0.0000 6.2224 6.4744
F -0.4470 7.6025 2.1581
F -0.6369 8.8361 6.4744
F 3.7989 1.3549 4.4892
F 3.7989 1.3549 8.4597
F 1.4186 5.9195 2.1581
F 2.8068 3.8664 2.1581
F 2.5820 5.4672 6.4744
F 3.9701 3.4142 6.4744
F 1.5898 7.9787 0.1729
F 1.5898 7.9787 4.1434
F 6.0257 0.4975 2.1581
F 5.8357 1.7312 6.4744
F 5.3888 3.1112 2.1581
F 3.5384 7.2608 2.1581
F 4.6627 5.3662 4.4892
F 4.6627 5.3662 8.4597
F 3.9726 7.4350 6.4744
F 8.0572 0.5660 6.4744
F 8.4251 0.2771 2.1581
F 6.3604 4.1883 6.4744
F 7.7047 2.6125 4.4892
F 7.7047 2.6125 8.4597
F 6.2587 6.6947 6.4744
F 7.3338 4.9697 2.1581
F 6.3250 7.1578 2.1581
```

Principal peaks in the range 10 to 90 degrees two-theta, in order of rising 2θ:
2θ/deg, Rel. int.
20.58, 65
25.25, 100
32.79, 62
44.48, 31
49.50, 63
51.83, 15
56.35, 16
62.72, 21
70.68, 18
85.62, 17

***

Entry 3:
The following is a theoretical PXRD pattern of GaAsO4. It was derived from a cell relaxed with PBE, using λ = 1.5418 Å (Cu Kα).
Neutral-atom scattering factors, no anomalous dispersion.

```
12
Lattice="3.5126 -3.7103 0.0000 3.5126 3.7103 0.0000 0.0000 0.0000 7.1325" Properties=species:S:1:pos:R:3 pbc="T T T"
Ga 1.2157 0.0000 0.0000
Ga 5.8094 0.0000 3.5663
As 3.5126 1.3291 5.3494
As 3.5126 -1.3291 1.7831
O 3.4018 2.2577 3.9060
O 3.6234 2.2577 6.7929
O 2.1398 0.3218 5.5549
O 2.1398 -0.3218 1.5776
O 4.8854 0.3218 5.1439
O 4.8854 -0.3218 1.9886
O 3.4018 -2.2577 3.2266
O 3.6234 -2.2577 0.3397
```

Principal peaks in the range 10 to 90 degrees two-theta, in order of rising 2θ:
2θ/deg, Rel. int.
21.41, 100
27.09, 12
28.32, 8
30.59, 26
35.18, 22
37.44, 9
40.69, 7
41.92, 7
42.41, 7
60.30, 15